The following is a computed PXRD pattern of Al3FeCo. It was derived from a structure optimized by DFT (PBE), using Cu Kα (λ = 1.5418 Å).
No peak broadening, texture or thermal motion is included.

```
data_Al3FeCo
_cell_length_a 8.3246
_cell_length_b 9.1865
_cell_length_c 6.9601
_cell_angle_alpha 90.00
_cell_angle_beta 90.00
_cell_angle_gamma 90.00
_space_group_name_H-M_alt 'C m c e'
_space_group_IT_number 64
_space_group_name_Hall '-C 2ac 2'
loop_
_atom_site_label
_atom_site_fract_x
_atom_site_fract_y
_atom_site_fract_z
Al1 0.0000 0.0523 0.1765
Al2 0.1820 0.1279 0.5859
Fe1 0.2500 0.1442 0.2500
Co1 0.0000 0.2109 0.8836
```

Top 10 peaks for 15° ≤ 2θ ≤ 90°, sorted by position:
Position (°2θ)  I (rel.)  index
19.31  64  0 2 0
29.47  48  1 1 2
31.73  51  2 2 1
36.20  52  3 1 1
40.72  77  1 3 2
42.83  82  3 1 2
43.48  53  4 0 0
43.71  100  0 2 3
45.09  79  2 4 0
47.04  59  2 4 1

---

The following is a computed PXRD pattern of Tl3Pb. It was derived from a structure optimized by DFT (PBE), using Cu Kα (λ = 1.5418 Å).
No peak broadening, texture or thermal motion is included.

```
data_Tl3Pb
_cell_length_a 3.4457
_cell_length_b 5.1764
_cell_length_c 6.9071
_cell_angle_alpha 90.00
_cell_angle_beta 90.48
_cell_angle_gamma 90.00
_space_group_name_H-M_alt 'P 1 2/m 1'
_space_group_IT_number 10
_space_group_name_Hall '-P 2y'
loop_
_atom_site_label
_atom_site_fract_x
_atom_site_fract_y
_atom_site_fract_z
Tl1 0.0000 0.0000 0.0000
Tl2 0.4975 0.5000 0.7512
Pb1 0.0000 0.0000 0.5000
```

Top 10 peaks for 15° ≤ 2θ ≤ 90°, sorted by position:
Position (°2θ)  I (rel.)  index
31.16  100  1 1 0
34.66  19  0 2 0
36.69  16  1 0 -2
37.01  16  1 0 2
51.36  13  1 2 -2
51.60  13  1 2 2
59.94  16  1 3 0
62.65  14  2 1 -2
63.07  14  2 1 2
84.00  6  2 3 -2

---

The following is a computed PXRD pattern of La2H6IrRh. It was derived from a structure optimized by DFT (PBE), using Cu Kα (λ = 1.5418 Å).
No peak broadening, texture or thermal motion is included.

```
data_La2H6IrRh
_cell_length_a 7.5363
_cell_length_b 7.6181
_cell_length_c 7.6584
_cell_angle_alpha 90.00
_cell_angle_beta 90.00
_cell_angle_gamma 90.00
_space_group_name_H-M_alt 'F m m m'
_space_group_IT_number 69
_space_group_name_Hall '-F 2 2'
loop_
_atom_site_label
_atom_site_fract_x
_atom_site_fract_y
_atom_site_fract_z
La1 0.2500 0.2500 0.2500
H1 0.0000 0.0000 0.2384
H2 0.0000 0.2406 0.0000
H3 0.2425 0.0000 0.0000
Ir1 0.0000 0.0000 0.0000
Rh1 0.0000 0.0000 0.5000
```

Top 10 peaks for 15° ≤ 2θ ≤ 90°, sorted by position:
Position (°2θ)  I (rel.)  index
20.23  7  1 1 1
33.17  51  0 2 2
33.41  100  2 2 0
47.49  10  0 0 4
47.76  9  0 4 0
48.31  9  4 0 0
59.33  19  2 2 4
59.50  19  2 4 2
59.86  19  4 2 2
80.50  8  6 2 0

---

The following is a computed PXRD pattern of LiPrPdPt. It was derived from a structure optimized by DFT (PBE), using Cu Kα (λ = 1.5418 Å).
No peak broadening, texture or thermal motion is included.

```
data_LiPrPdPt
_cell_length_a 4.3779
_cell_length_b 4.3779
_cell_length_c 14.5380
_cell_angle_alpha 90.00
_cell_angle_beta 90.00
_cell_angle_gamma 120.00
_space_group_name_H-M_alt 'R 3 m'
_space_group_IT_number 160
_space_group_name_Hall 'R 3 -2"'
loop_
_atom_site_label
_atom_site_fract_x
_atom_site_fract_y
_atom_site_fract_z
Li1 0.0000 0.0000 0.0000
Pr1 0.0000 0.0000 0.4938
Pd1 0.0000 0.0000 0.2817
Pt1 0.0000 0.0000 0.7105
```

Top 10 peaks for 15° ≤ 2θ ≤ 90°, sorted by position:
Position (°2θ)  I (rel.)  index
24.26  96  1 0 1
26.52  26  0 1 2
34.17  98  1 0 4
39.04  97  0 1 5
41.24  100  1 1 0
54.60  26  0 2 4
58.09  30  2 0 5
70.66  24  2 1 4
72.76  32  1 1 9
73.71  30  1 2 5

---

The following is a computed PXRD pattern of HfZrCo10. It was derived from a structure optimized by DFT (PBE), using Cu Kα (λ = 1.5418 Å).
No peak broadening, texture or thermal motion is included.

```
data_HfZrCo10
_cell_length_a 3.9630
_cell_length_b 4.7499
_cell_length_c 8.2202
_cell_angle_alpha 90.00
_cell_angle_beta 90.00
_cell_angle_gamma 90.00
_space_group_name_H-M_alt 'P m m m'
_space_group_IT_number 47
_space_group_name_Hall '-P 2 2'
loop_
_atom_site_label
_atom_site_fract_x
_atom_site_fract_y
_atom_site_fract_z
Hf1 0.0000 0.0000 0.0000
Zr1 0.0000 0.5000 0.5000
Co1 0.0000 0.0000 0.3317
Co2 0.0000 0.5000 0.1651
Co3 0.5000 0.0000 0.5000
Co4 0.5000 0.2487 0.2485
Co5 0.5000 0.5000 0.0000
```

Top 10 peaks for 15° ≤ 2θ ≤ 90°, sorted by position:
Position (°2θ)  I (rel.)  index
31.35  47  1 1 1
37.90  30  0 2 0
44.05  34  0 0 4
44.49  100  1 2 0
45.79  29  2 0 0
60.90  14  2 2 0
65.41  20  2 0 4
73.05  21  1 3 3
81.00  15  0 4 0
83.80  15  3 2 0

---

The following is a computed PXRD pattern of SiPHRu. It was derived from a structure optimized by DFT (PBE), using Cu Kα (λ = 1.5418 Å).
No peak broadening, texture or thermal motion is included.

```
data_SiPHRu
_cell_length_a 8.0865
_cell_length_b 2.9295
_cell_length_c 5.6107
_cell_angle_alpha 90.00
_cell_angle_beta 131.29
_cell_angle_gamma 90.00
_space_group_name_H-M_alt 'C 1 m 1'
_space_group_IT_number 8
_space_group_name_Hall 'C -2y'
loop_
_atom_site_label
_atom_site_fract_x
_atom_site_fract_y
_atom_site_fract_z
Si1 0.0000 0.0000 0.0000
P1 0.4893 0.5000 0.3864
H1 0.1316 0.5000 0.8507
Ru1 0.3574 0.0000 0.5576
```

Top 10 peaks for 15° ≤ 2θ ≤ 90°, sorted by position:
Position (°2θ)  I (rel.)  index
21.07  98  0 0 1
22.06  86  2 0 -1
29.40  61  2 0 0
33.97  41  1 1 0
34.55  100  1 1 -1
45.48  30  1 1 1
46.48  29  3 1 -1
46.82  52  1 1 -2
47.81  49  3 1 -2
55.13  40  3 1 0

---

The following is a computed PXRD pattern of RbGeMoRh2. It was derived from a structure optimized by DFT (PBE), using Cu Kα (λ = 1.5418 Å).
No peak broadening, texture or thermal motion is included.

```
data_RbGeMoRh2
_cell_length_a 4.7677
_cell_length_b 4.7677
_cell_length_c 4.9717
_cell_angle_alpha 90.00
_cell_angle_beta 90.00
_cell_angle_gamma 90.00
_space_group_name_H-M_alt 'P 4/m m m'
_space_group_IT_number 123
_space_group_name_Hall '-P 4 2'
loop_
_atom_site_label
_atom_site_fract_x
_atom_site_fract_y
_atom_site_fract_z
Rb1 0.0000 0.0000 0.0000
Ge1 0.5000 0.5000 0.5000
Mo1 0.5000 0.5000 0.0000
Rh1 0.0000 0.5000 0.5000
```

Top 10 peaks for 15° ≤ 2θ ≤ 90°, sorted by position:
Position (°2θ)  I (rel.)  index
18.61  14  1 0 0
32.08  100  1 1 1
36.13  39  0 0 2
37.74  69  2 0 0
53.24  50  2 0 2
54.43  23  2 2 0
62.44  14  1 1 3
64.60  25  3 1 1
67.09  25  2 2 2
88.77  12  2 0 4

---

The following is a computed PXRD pattern of KSO3. It was derived from a structure optimized by DFT (PBE), using Cu Kα (λ = 1.5418 Å).
No peak broadening, texture or thermal motion is included.

```
data_KSO3
_cell_length_a 5.7973
_cell_length_b 5.7973
_cell_length_c 5.8650
_cell_angle_alpha 90.00
_cell_angle_beta 90.00
_cell_angle_gamma 120.00
_space_group_name_H-M_alt 'P -3 m 1'
_space_group_IT_number 164
_space_group_name_Hall '-P 3 2"'
loop_
_atom_site_label
_atom_site_fract_x
_atom_site_fract_y
_atom_site_fract_z
K1 0.3333 0.6667 0.3347
S1 0.0000 0.0000 0.1867
O1 0.1421 0.2841 0.7510
```

Top 10 peaks for 15° ≤ 2θ ≤ 90°, sorted by position:
Position (°2θ)  I (rel.)  index
17.67  85  1 0 0
23.32  79  0 1 1
30.48  58  0 0 2
30.85  70  1 1 0
35.45  48  0 1 2
39.03  100  2 0 1
50.07  23  1 0 3
59.97  17  2 0 3
64.27  20  2 2 0
68.97  17  2 1 3

---

The following is a computed PXRD pattern of Fe13Si2. It was derived from a structure optimized by DFT (PBE), using Cu Kα (λ = 1.5418 Å).
No peak broadening, texture or thermal motion is included.

```
data_Fe13Si2
_cell_length_a 4.6752
_cell_length_b 6.3178
_cell_length_c 6.3672
_cell_angle_alpha 66.18
_cell_angle_beta 82.87
_cell_angle_gamma 82.42
_space_group_name_H-M_alt 'P -1'
_space_group_IT_number 2
_space_group_name_Hall '-P 1'
loop_
_atom_site_label
_atom_site_fract_x
_atom_site_fract_y
_atom_site_fract_z
Fe1 0.0000 0.0000 0.0000
Fe2 0.0662 0.7364 0.3990
Fe3 0.2011 0.2030 0.1967
Fe4 0.2654 0.9289 0.6004
Fe5 0.3332 0.6638 0.0015
Fe6 0.3911 0.3995 0.4031
Fe7 0.4705 0.1298 0.8011
Si1 0.1415 0.4659 0.7907
```

Top 10 peaks for 15° ≤ 2θ ≤ 90°, sorted by position:
Position (°2θ)  I (rel.)  index
45.12  34  1 1 -2
45.24  100  1 1 3
45.53  65  2 2 1
65.34  10  -1 2 4
66.26  10  1 4 0
83.16  10  0 0 5
83.32  10  1 4 5
83.80  10  0 3 -3
83.95  14  2 5 3
84.03  14  3 3 4

---

The following is a computed PXRD pattern of La4Er4Al. It was derived from a structure optimized by DFT (PBE), using Cu Kα (λ = 1.5418 Å).
No peak broadening, texture or thermal motion is included.

```
data_La4Er4Al
_cell_length_a 6.3618
_cell_length_b 8.5162
_cell_length_c 11.1904
_cell_angle_alpha 90.00
_cell_angle_beta 90.00
_cell_angle_gamma 90.00
_space_group_name_H-M_alt 'I 2 2 2'
_space_group_IT_number 23
_space_group_name_Hall 'I 2 2'
loop_
_atom_site_label
_atom_site_fract_x
_atom_site_fract_y
_atom_site_fract_z
La1 0.0000 0.0000 0.0000
La2 0.0000 0.1664 0.5000
La3 0.0000 0.5000 0.0000
Er1 0.2128 0.3599 0.2581
Al1 0.0000 0.5000 0.5000
```

Top 10 peaks for 15° ≤ 2θ ≤ 90°, sorted by position:
Position (°2θ)  I (rel.)  index
26.42  100  1 2 1
31.99  42  0 0 4
32.38  73  2 0 2
34.95  47  1 2 3
38.26  13  1 3 2
45.62  21  0 4 2
48.10  19  1 2 5
48.65  14  3 2 1
54.20  13  3 2 3
57.26  14  2 0 6

---

The following is a computed PXRD pattern of TaZn2Ni. It was derived from a structure optimized by DFT (PBE), using Cu Kα (λ = 1.5418 Å).
No peak broadening, texture or thermal motion is included.

```
data_TaZn2Ni
_cell_length_a 2.8232
_cell_length_b 2.8232
_cell_length_c 7.1249
_cell_angle_alpha 90.00
_cell_angle_beta 90.00
_cell_angle_gamma 90.00
_space_group_name_H-M_alt 'P 4/m m m'
_space_group_IT_number 123
_space_group_name_Hall '-P 4 2'
loop_
_atom_site_label
_atom_site_fract_x
_atom_site_fract_y
_atom_site_fract_z
Ta1 0.0000 0.0000 0.0000
Zn1 0.5000 0.5000 0.2831
Ni1 0.0000 0.0000 0.5000
```

Top 10 peaks for 15° ≤ 2θ ≤ 90°, sorted by position:
Position (°2θ)  I (rel.)  index
34.16  24  1 0 1
37.88  8  0 0 3
40.78  100  1 0 2
45.43  39  1 1 0
51.29  10  0 0 4
60.59  9  1 1 3
66.21  12  2 0 0
70.91  15  1 1 4
80.75  26  2 1 2
88.35  9  2 0 4

---

The following is a computed PXRD pattern of Tb2Pr3In3. It was derived from a structure optimized by DFT (PBE), using Cu Kα (λ = 1.5418 Å).
No peak broadening, texture or thermal motion is included.

```
data_Tb2Pr3In3
_cell_length_a 8.9064
_cell_length_b 8.9064
_cell_length_c 3.4547
_cell_angle_alpha 90.00
_cell_angle_beta 90.00
_cell_angle_gamma 120.00
_space_group_name_H-M_alt 'P -6 2 m'
_space_group_IT_number 189
_space_group_name_Hall 'P -6 -2'
loop_
_atom_site_label
_atom_site_fract_x
_atom_site_fract_y
_atom_site_fract_z
Tb1 0.3333 0.6667 0.0000
Pr1 0.0000 0.2421 0.0000
In1 0.0000 0.6121 0.5000
```

Top 10 peaks for 15° ≤ 2θ ≤ 90°, sorted by position:
Position (°2θ)  I (rel.)  index
30.67  86  2 1 0
32.81  100  1 1 1
34.88  87  3 0 0
40.49  37  2 1 1
54.51  18  4 1 0
58.61  27  3 2 1
61.26  28  4 1 1
62.51  26  2 1 2
65.05  14  3 0 2
87.64  15  6 1 1

---

The following is a computed PXRD pattern of Li3Ge2Pt6. It was derived from a structure optimized by DFT (PBE), using Cu Kα (λ = 1.5418 Å).
No peak broadening, texture or thermal motion is included.

```
data_Li3Ge2Pt6
_cell_length_a 9.3300
_cell_length_b 9.3300
_cell_length_c 9.3300
_cell_angle_alpha 90.00
_cell_angle_beta 90.00
_cell_angle_gamma 90.00
_space_group_name_H-M_alt 'I m -3 m'
_space_group_IT_number 229
_space_group_name_Hall '-I 4 2 3'
loop_
_atom_site_label
_atom_site_fract_x
_atom_site_fract_y
_atom_site_fract_z
Li1 0.0000 0.0000 0.3382
Ge1 0.2500 0.2500 0.2500
Pt1 0.0000 0.3174 0.3174
```

Top 10 peaks for 15° ≤ 2θ ≤ 90°, sorted by position:
Position (°2θ)  I (rel.)  index
19.02  21  2 0 0
23.35  49  2 1 1
36.02  39  3 2 1
41.04  100  3 3 0
43.37  25  4 2 0
47.76  15  4 2 2
49.84  17  5 1 0
53.82  30  5 2 1
74.77  41  6 3 3
89.03  23  6 6 0

---

The following is a computed PXRD pattern of Ac5Pr2Ho. It was derived from a structure optimized by DFT (PBE), using Cu Kα (λ = 1.5418 Å).
No peak broadening, texture or thermal motion is included.

```
data_Ac5Pr2Ho
_cell_length_a 3.9695
_cell_length_b 16.6647
_cell_length_c 10.1409
_cell_angle_alpha 90.00
_cell_angle_beta 90.00
_cell_angle_gamma 90.00
_space_group_name_H-M_alt 'P m m n'
_space_group_IT_number 59
loop_
_space_group_symop_operation_xyz
'x,y,z'
'-x,-y,-z'
'-x+1/2,-y+1/2,z'
'x+1/2,y+1/2,-z'
'x+1/2,-y,-z'
'-x+1/2,y,z'
'-x,y+1/2,-z'
'x,-y+1/2,z'
loop_
_atom_site_label
_atom_site_fract_x
_atom_site_fract_y
_atom_site_fract_z
Ac1 0.2500 0.0495 0.1532
Ac2 0.2500 0.2500 0.3420
Ac3 0.2500 0.5974 0.4872
Pr1 0.2500 0.1443 0.8124
Ho1 0.2500 0.7500 0.9511
```

Top 10 peaks for 15° ≤ 2θ ≤ 90°, sorted by position:
Position (°2θ)  I (rel.)  index
26.37  20  0 0 3
28.18  29  0 5 1
28.50  22  0 2 3
29.03  100  1 3 1
30.55  28  1 2 2
32.18  14  0 6 0
32.38  12  1 4 1
34.16  13  0 4 3
45.71  13  2 0 0
52.80  14  1 8 2